The following is a computed powder XRD pattern of YCuO3. It was derived from a crystal structure in the Materials Project, relaxed with PBE, using Cu Kα, 1.54184 Å.
Lines closer than 0.1° are merged.

Atomic structure:
```
data_YCuO3
_chemical_formula_sum 'Y1 Cu1 O3'
_cell_length_a 3.782
_cell_length_b 3.782
_cell_length_c 3.782
_cell_angle_alpha 90.00
_cell_angle_beta 90.00
_cell_angle_gamma 90.00
_symmetry_space_group_name_H-M 'P m -3 m'
_symmetry_Int_Tables_number 221
_symmetry_space_group_name_Hall '-P 4 2 3'
loop_
_atom_site_label
_atom_site_type_symbol
_atom_site_fract_x
_atom_site_fract_y
_atom_site_fract_z
_atom_site_occupancy
Y1 Y 0.000 0.000 0.000 1
Cu1 Cu 0.500 0.500 0.500 1
O1 O 0.000 0.500 0.500 1
```

The 8 most intense peaks (10 to 90 degrees two-theta), by angle:
hkl  two_theta  Rel. int.
1 1 0  33.51  100
1 1 1  41.35  8
2 0 0  48.12  36
2 1 1  59.90  37
2 2 0  70.41  20
3 1 0  80.27  15
3 1 1  85.07  2
2 2 2  89.84  7

=====

The following is a computed powder XRD pattern of YCu2O4. It was derived from a crystal structure in the Materials Project, relaxed with PBE, using Cu Kα, 1.54184 Å.
Lines closer than 0.1° are merged.

Atomic structure:
```
data_YCu2O4
_chemical_formula_sum 'Y4 Cu8 O16'
_cell_length_a 5.715
_cell_length_b 5.715
_cell_length_c 9.635
_cell_angle_alpha 90.00
_cell_angle_beta 90.00
_cell_angle_gamma 90.00
_symmetry_space_group_name_H-M 'I 41/a'
_symmetry_Int_Tables_number 88
loop_
_symmetry_equiv_pos_as_xyz
'x,y,z'
'-x,-y,-z'
'-y+3/4,x+1/4,z+1/4'
'y+3/4,-x+1/4,-z+1/4'
'-x+1/2,-y,z+1/2'
'x+1/2,y,-z+1/2'
'y+3/4,-x+3/4,z+3/4'
'-y+3/4,x+3/4,-z+3/4'
'x+1/2,y+1/2,z+1/2'
'-x+1/2,-y+1/2,-z+1/2'
'-y+1/4,x+3/4,z+3/4'
'y+1/4,-x+3/4,-z+3/4'
'-x,-y+1/2,z'
'x,y+1/2,-z'
'y+1/4,-x+1/4,z+1/4'
'-y+1/4,x+1/4,-z+1/4'
loop_
_atom_site_label
_atom_site_type_symbol
_atom_site_fract_x
_atom_site_fract_y
_atom_site_fract_z
_atom_site_occupancy
Y1 Y 0.000 0.250 0.125 1
Cu1 Cu 0.000 0.000 0.500 1
O1 O 0.147 0.459 0.323 1
```

The 10 most intense peaks (10 to 90 degrees two-theta), by angle:
hkl  two_theta  Rel. int.
1 1 2  28.84  31
1 0 3  31.96  43
1 2 1  36.36  100
2 0 2  36.56  39
1 0 5  49.95  22
3 1 2  54.20  17
3 0 3  56.13  17
2 3 1  59.06  19
2 2 4  59.73  29
4 2 2  77.23  11

=====

The following is a computed powder XRD pattern of ZnCu2O4. It was derived from a crystal structure in the Materials Project, relaxed with PBE, using Cu Kα, 1.54184 Å.
Lines closer than 0.1° are merged.

Atomic structure:
```
data_ZnCu2O4
_chemical_formula_sum 'Zn12 Cu24 O48'
_cell_length_a 10.252
_cell_length_b 5.945
_cell_length_c 14.510
_cell_angle_alpha 90.00
_cell_angle_beta 90.30
_cell_angle_gamma 90.00
_symmetry_space_group_name_H-M 'C 1 m 1'
_symmetry_Int_Tables_number 8
loop_
_symmetry_equiv_pos_as_xyz
'x,y,z'
'x,-y,z'
'x+1/2,y+1/2,z'
'x+1/2,-y+1/2,z'
loop_
_atom_site_label
_atom_site_type_symbol
_atom_site_fract_x
_atom_site_fract_y
_atom_site_fract_z
_atom_site_occupancy
Zn1 Zn 0.000 0.000 0.000 1
Zn2 Zn 0.001 0.500 0.501 1
Zn3 Zn 0.167 0.000 0.833 1
Zn4 Zn 0.327 0.000 0.292 1
Zn5 Zn 0.333 0.500 0.165 1
Zn6 Zn 0.334 0.000 0.666 1
Cu1 Cu 0.002 0.000 0.375 1
Cu2 Cu 0.084 0.251 0.166 1
Cu3 Cu 0.163 0.500 0.955 1
Cu4 Cu 0.167 0.500 0.333 1
Cu5 Cu 0.170 0.500 0.710 1
Cu6 Cu 0.250 0.251 0.500 1
Cu7 Cu 0.337 0.000 0.042 1
Cu8 Cu 0.417 0.250 0.833 1
Cu9 Cu 0.497 0.500 0.625 1
O1 O 0.009 0.000 0.241 1
O2 O 0.010 0.500 0.246 1
O3 O 0.071 0.239 0.910 1
O4 O 0.099 0.268 0.416 1
O5 O 0.159 0.500 0.087 1
O6 O 0.164 0.000 0.091 1
O7 O 0.169 0.000 0.578 1
O8 O 0.176 0.500 0.575 1
O9 O 0.234 0.272 0.247 1
O10 O 0.263 0.239 0.756 1
O11 O 0.325 0.000 0.429 1
O12 O 0.327 0.500 0.416 1
O13 O 0.339 0.500 0.910 1
O14 O 0.340 0.000 0.910 1
O15 O 0.405 0.243 0.577 1
O16 O 0.429 0.259 0.090 1
O17 O 0.494 0.500 0.756 1
O18 O 0.495 0.000 0.756 1
```

The 10 most intense peaks (10 to 90 degrees two-theta), by angle:
hkl  two_theta  Rel. int.
0 2 0  30.08  14
1 1 4  30.18  27
1 1 -5  35.46  100
3 1 3  35.61  49
2 2 2  37.13  14
2 2 -4  43.07  18
4 2 -5  56.97  28
5 1 5  57.30  14
0 4 0  62.54  21
2 2 8  62.75  42

=====

The following is a computed powder XRD pattern of ZnCu2O4. It was derived from a crystal structure in the Materials Project, relaxed with PBE, using Cu Kα, 1.54184 Å.
Lines closer than 0.1° are merged.

Atomic structure:
```
data_ZnCu2O4
_chemical_formula_sum 'Zn4 Cu8 O16'
_cell_length_a 10.342
_cell_length_b 5.888
_cell_length_c 5.897
_cell_angle_alpha 90.00
_cell_angle_beta 124.60
_cell_angle_gamma 90.00
_symmetry_space_group_name_H-M 'C 1 2/m 1'
_symmetry_Int_Tables_number 12
loop_
_symmetry_equiv_pos_as_xyz
'x,y,z'
'-x,-y,-z'
'-x,y,-z'
'x,-y,z'
'x+1/2,y+1/2,z'
'-x+1/2,-y+1/2,-z'
'-x+1/2,y+1/2,-z'
'x+1/2,-y+1/2,z'
loop_
_atom_site_label
_atom_site_type_symbol
_atom_site_fract_x
_atom_site_fract_y
_atom_site_fract_z
_atom_site_occupancy
Zn1 Zn 0.123 0.000 0.376 1
Cu1 Cu 0.000 0.500 0.000 1
Cu2 Cu 0.000 0.500 0.500 1
Cu3 Cu 0.250 0.250 0.000 1
O1 O 0.012 0.275 0.758 1
O2 O 0.237 0.500 0.216 1
O3 O 0.245 0.500 0.769 1
```

The 10 most intense peaks (10 to 90 degrees two-theta), by angle:
hkl  two_theta  Rel. int.
1 1 1  30.01  31
0 2 0  30.34  15
2 0 1  35.10  53
3 1 -2  35.67  100
2 2 0  37.10  14
2 2 -2  43.44  16
4 0 1  56.24  16
3 3 -2  57.41  31
2 2 2  62.31  22
6 2 -2  62.44  22

=====

The following is a computed powder XRD pattern of ZnCu2O4. It was derived from a crystal structure in the Materials Project, relaxed with PBE, using Cu Kα, 1.54184 Å.
Lines closer than 0.1° are merged.

Atomic structure:
```
data_ZnCu2O4
_chemical_formula_sum 'Zn4 Cu8 O16'
_cell_length_a 5.966
_cell_length_b 6.021
_cell_length_c 8.282
_cell_angle_alpha 90.00
_cell_angle_beta 90.00
_cell_angle_gamma 90.00
_symmetry_space_group_name_H-M 'I m m a'
_symmetry_Int_Tables_number 74
_symmetry_space_group_name_Hall '-I 2b 2'
loop_
_atom_site_label
_atom_site_type_symbol
_atom_site_fract_x
_atom_site_fract_y
_atom_site_fract_z
_atom_site_occupancy
Zn1 Zn 0.250 0.250 0.250 1
Cu1 Cu 0.000 0.000 0.000 1
Cu2 Cu 0.000 0.250 0.635 1
O1 O 0.000 0.016 0.233 1
O2 O 0.230 0.250 0.994 1
```

The 10 most intense peaks (10 to 90 degrees two-theta), by angle:
hkl  two_theta  Rel. int.
1 1 2  30.17  52
1 2 1  35.10  94
2 1 1  35.28  100
1 0 3  35.81  95
0 2 2  36.92  22
2 2 0  42.67  36
2 3 1  56.36  29
3 2 1  56.57  28
0 1 5  57.74  25
2 2 4  62.74  80